[1]
Structure and calculated X-ray powder pattern of Nd2PuPd9 (a cell relaxed with GGA-PBE; Cu Ka).
Peak positions follow from Bragg's law for the DFT cell and can differ from measured ones.

Largest 10 diffraction maxima, sorted by position, 10 to 90 degrees two-theta:
2θ/deg	I (rel.)
14.10	1.4
21.25	5.1
30.22	4.5
37.24	100.0
43.27	49.0
48.69	2.6
53.69	2.0
62.85	31.8
75.38	37.1
79.37	10.8

Structure:
a b c (Å): 4.180 4.180 12.559
angles (deg): 90.00 90.00 90.00
Fractional positions:
Nd 0.000 0.000 0.167
Nd 0.000 0.000 0.833
Pu 0.000 0.000 0.500
Pd 0.000 0.500 0.000
Pd 0.000 0.500 0.340
Pd 0.000 0.500 0.660
Pd 0.500 0.000 0.000
Pd 0.500 0.000 0.340
Pd 0.500 0.000 0.660
Pd 0.500 0.500 0.168
Pd 0.500 0.500 0.500
Pd 0.500 0.500 0.832

---

[2]
Structure and calculated X-ray powder pattern of RbSiP2 (a cell relaxed with GGA-PBE; Cu Ka).
Peak positions follow from Bragg's law for the DFT cell and can differ from measured ones.

Largest 10 diffraction maxima, sorted by position, 10 to 90 degrees two-theta:
2θ/deg	I (rel.)
21.89	100.0
28.26	44.9
31.16	52.8
32.03	48.0
34.95	47.1
35.74	84.4
42.30	40.6
50.25	30.3
53.46	45.4
58.45	26.2

Structure:
a b c (Å): 6.572 6.572 6.572
angles (deg): 103.70 103.70 121.75
Fractional positions:
Rb 0.250 0.250 0.000
Rb 0.750 0.750 0.000
Si 0.250 0.750 0.500
Si 0.750 0.250 0.500
P 0.141 0.641 0.782
P 0.359 0.141 0.500
P 0.641 0.859 0.500
P 0.859 0.359 0.218

---

[3]
Structure and calculated X-ray powder pattern of SmYGe2Pd5 (a cell relaxed with GGA-PBE; Cu Ka).
Peak positions follow from Bragg's law for the DFT cell and can differ from measured ones.

Largest 10 diffraction maxima, sorted by position, 10 to 90 degrees two-theta:
2θ/deg	I (rel.)
35.73	100.0
39.42	10.8
42.21	25.2
42.50	47.8
59.35	12.8
61.66	15.6
67.55	7.6
69.10	11.6
73.36	23.6
77.56	8.3

Structure:
a b c (Å): 4.254 4.254 9.143
angles (deg): 90.00 90.00 90.00
Fractional positions:
Sm 0.000 0.000 0.000
Y 0.000 0.000 0.500
Ge 0.500 0.500 0.366
Ge 0.500 0.500 0.634
Pd 0.000 0.500 0.227
Pd 0.000 0.500 0.773
Pd 0.500 0.000 0.227
Pd 0.500 0.000 0.773
Pd 0.500 0.500 0.000